Starting from the PBE geometry in the Materials Project, the powder diffraction line list of CeMn4Al8 was computed for copper Kα.

The 12 most intense peaks (2θ from 10° to 90°), by angle:
| two_theta | d (Å) | intensity |
| --- | --- | --- |
| 14.16 | 6.255 | 26 |
| 19.90 | 4.462 | 27 |
| 28.41 | 3.141 | 39 |
| 28.54 | 3.128 | 26 |
| 31.99 | 2.797 | 18 |
| 35.04 | 2.561 | 31 |
| 40.43 | 2.231 | 68 |
| 40.76 | 2.214 | 100 |
| 45.54 | 1.992 | 16 |
| 58.79 | 1.571 | 24 |
| 66.87 | 1.399 | 15 |
| 74.03 | 1.281 | 16 |

Structural model:
a b c (Å): 6.768 6.768 6.768
angles (deg): 98.38 98.38 135.11
Sites, in units of the cell vectors:
Ce 0.000 0.000 0.000
Mn 0.000 0.000 0.500
Mn 0.000 0.500 0.000
Mn 0.500 0.000 0.000
Mn 0.500 0.500 0.500
Al 0.000 0.340 0.340
Al 0.000 0.660 0.660
Al 0.274 0.500 0.774
Al 0.340 0.000 0.340
Al 0.500 0.274 0.774
Al 0.500 0.726 0.226
Al 0.660 0.000 0.660
Al 0.726 0.500 0.226

=====

Starting from the PBE geometry in the Materials Project, the powder diffraction line list of RbCr2S4 was computed for copper Kα.

The 12 most intense peaks (2θ from 10° to 90°), by angle:
| two_theta | d (Å) | intensity |
| --- | --- | --- |
| 20.97 | 4.237 | 34 |
| 23.68 | 3.758 | 85 |
| 26.27 | 3.392 | 100 |
| 29.40 | 3.038 | 45 |
| 30.19 | 2.960 | 51 |
| 31.08 | 2.878 | 37 |
| 31.77 | 2.817 | 41 |
| 32.35 | 2.767 | 45 |
| 32.57 | 2.749 | 89 |
| 34.87 | 2.573 | 72 |
| 38.59 | 2.333 | 40 |
| 50.49 | 1.807 | 29 |

Structural model:
a b c (Å): 11.408 8.384 12.657
angles (deg): 90.00 90.00 90.00
Sites, in units of the cell vectors:
Rb 0.046 0.157 0.000
Rb 0.102 0.625 0.676
Rb 0.398 0.625 0.176
Rb 0.454 0.157 0.500
Rb 0.546 0.843 0.000
Rb 0.602 0.375 0.676
Rb 0.898 0.375 0.176
Rb 0.954 0.843 0.500
Cr 0.109 0.714 0.014
Cr 0.142 0.157 0.672
Cr 0.151 0.882 0.267
Cr 0.156 0.371 0.360
Cr 0.344 0.371 0.860
Cr 0.349 0.882 0.767
Cr 0.358 0.157 0.172
Cr 0.391 0.714 0.514
Cr 0.609 0.286 0.014
Cr 0.642 0.843 0.672
Cr 0.651 0.118 0.267
Cr 0.656 0.629 0.360
Cr 0.844 0.629 0.860
Cr 0.849 0.118 0.767
Cr 0.858 0.843 0.172
Cr 0.891 0.286 0.514
S 0.015 0.978 0.758
S 0.022 0.522 0.913
S 0.035 0.690 0.186
S 0.080 0.186 0.496
S 0.208 0.357 0.182
S 0.221 0.684 0.386
S 0.236 0.918 0.110
S 0.248 0.112 0.834
S 0.252 0.112 0.334
S 0.264 0.918 0.610
S 0.279 0.684 0.886
S 0.292 0.357 0.682
S 0.420 0.186 0.996
S 0.465 0.690 0.686
S 0.478 0.522 0.413
S 0.485 0.978 0.258
S 0.515 0.022 0.758
S 0.522 0.478 0.913
S 0.535 0.310 0.186
S 0.580 0.814 0.496
S 0.708 0.643 0.182
S 0.721 0.316 0.386
S 0.736 0.082 0.110
S 0.748 0.888 0.834
S 0.752 0.888 0.334
S 0.764 0.082 0.610
S 0.779 0.316 0.886
S 0.792 0.643 0.682
S 0.920 0.814 0.996
S 0.965 0.310 0.686
S 0.978 0.478 0.413
S 0.985 0.022 0.258

=====

Starting from the PBE geometry in the Materials Project, the powder diffraction line list of RbNiC2N2Cl was computed for copper Kα.

The 12 most intense peaks (2θ from 10° to 90°), by angle:
| two_theta | d (Å) | intensity |
| --- | --- | --- |
| 23.54 | 3.779 | 100 |
| 25.17 | 3.539 | 61 |
| 29.62 | 3.016 | 31 |
| 31.04 | 2.881 | 42 |
| 35.89 | 2.502 | 49 |
| 40.37 | 2.234 | 31 |
| 43.37 | 2.086 | 28 |
| 48.16 | 1.889 | 36 |
| 50.92 | 1.793 | 16 |
| 58.31 | 1.583 | 16 |
| 61.50 | 1.508 | 14 |
| 67.53 | 1.387 | 19 |

Structural model:
a b c (Å): 7.633 7.633 7.633
angles (deg): 124.76 124.76 81.94
Sites, in units of the cell vectors:
Rb 0.250 0.750 0.500
Rb 0.750 0.250 0.500
Ni 0.000 0.000 0.000
Ni 0.500 0.500 0.000
C 0.183 0.183 0.366
C 0.183 0.817 0.000
C 0.817 0.183 0.000
C 0.817 0.817 0.634
N 0.300 0.300 0.600
N 0.300 0.700 0.000
N 0.700 0.300 0.000
N 0.700 0.700 0.400
Cl 0.280 0.280 0.000
Cl 0.720 0.720 0.000

=====

Starting from the PBE geometry in the Materials Project, the powder diffraction line list of K2LiAlF6 was computed for copper Kα.

The 12 most intense peaks (2θ from 10° to 90°), by angle:
| two_theta | d (Å) | intensity |
| --- | --- | --- |
| 19.27 | 4.606 | 34 |
| 31.72 | 2.821 | 60 |
| 37.38 | 2.406 | 4 |
| 39.11 | 2.303 | 100 |
| 45.47 | 1.995 | 88 |
| 56.50 | 1.629 | 20 |
| 60.27 | 1.535 | 8 |
| 66.27 | 1.410 | 45 |
| 69.73 | 1.349 | 4 |
| 75.34 | 1.262 | 11 |
| 79.72 | 1.203 | 20 |
| 84.04 | 1.152 | 13 |

Structural model:
a b c (Å): 5.642 5.642 5.642
angles (deg): 60.00 60.00 60.00
Sites, in units of the cell vectors:
K 0.250 0.250 0.250
K 0.750 0.750 0.750
Li 0.000 0.000 0.000
Al 0.500 0.500 0.500
F 0.269 0.269 0.731
F 0.269 0.731 0.269
F 0.269 0.731 0.731
F 0.731 0.269 0.269
F 0.731 0.269 0.731
F 0.731 0.731 0.269

=====

Starting from the PBE geometry in the Materials Project, the powder diffraction line list of NdB4Os4 was computed for copper Kα.

The 12 most intense peaks (2θ from 10° to 90°), by angle:
| two_theta | d (Å) | intensity |
| --- | --- | --- |
| 16.43 | 5.394 | 34 |
| 27.73 | 3.217 | 21 |
| 34.53 | 2.598 | 100 |
| 37.28 | 2.412 | 60 |
| 40.31 | 2.238 | 33 |
| 43.80 | 2.067 | 18 |
| 46.88 | 1.938 | 29 |
| 47.69 | 1.907 | 13 |
| 48.67 | 1.871 | 25 |
| 58.66 | 1.574 | 15 |
| 69.10 | 1.359 | 18 |
| 78.85 | 1.214 | 15 |

Structural model:
a b c (Å): 7.628 7.628 4.008
angles (deg): 90.00 90.00 90.00
Sites, in units of the cell vectors:
Nd 0.250 0.250 0.250
Nd 0.750 0.750 0.750
B 0.031 0.586 0.139
B 0.086 0.969 0.639
B 0.414 0.531 0.639
B 0.469 0.914 0.139
B 0.531 0.086 0.861
B 0.586 0.469 0.361
B 0.914 0.031 0.361
B 0.969 0.414 0.861
Os 0.104 0.857 0.138
Os 0.143 0.604 0.638
Os 0.357 0.896 0.638
Os 0.396 0.643 0.138
Os 0.604 0.357 0.862
Os 0.643 0.104 0.362
Os 0.857 0.396 0.362
Os 0.896 0.143 0.862